# 1
For U2Zn17, a PBE-relaxed structure gives the computed XRD peak list in this record (Cu Kα X-rays).
Peak positions follow from Bragg's law for the DFT cell and can differ from measured ones.

Crystal structure
Cell lengths 6.7799, 6.7799, 6.7799 Å; angles 82.48, 82.48, 82.48 degrees
Element x y z (fractional)
U (0.1617, 0.1617, 0.1617)
U (0.8383, 0.8383, 0.8383)
Zn (0.0000, 0.5000, 0.5000)
Zn (0.1459, 0.1459, 0.6603)
Zn (0.1459, 0.6603, 0.1459)
Zn (0.2017, 0.5000, 0.7983)
Zn (0.2017, 0.7983, 0.5000)
Zn (0.3397, 0.8541, 0.8541)
Zn (0.3983, 0.3983, 0.3983)
Zn (0.5000, 0.0000, 0.5000)
Zn (0.5000, 0.2017, 0.7983)
Zn (0.5000, 0.5000, 0.0000)
Zn (0.5000, 0.7983, 0.2017)
Zn (0.6017, 0.6017, 0.6017)
Zn (0.6603, 0.1459, 0.1459)
Zn (0.7983, 0.2017, 0.5000)
Zn (0.7983, 0.5000, 0.2017)
Zn (0.8541, 0.3397, 0.8541)
Zn (0.8541, 0.8541, 0.3397)

Top 10 peaks for 2θ = 5–70°, sorted by position:
two_theta	I/Imax
28.5	43.5
34.8	44.6
35.8	27.5
40.4	58.0
40.5	100.0
41.1	29.6
41.2	17.4
41.4	17.7
58.9	17.7
66.2	17.9

---

# 2
For ZrU, a PBE-relaxed structure gives the computed XRD peak list in this record (Cu Kα X-rays).
Peak positions follow from Bragg's law for the DFT cell and can differ from measured ones.

Crystal structure
Cell lengths 3.0365, 5.2318, 5.4917 Å; angles 90.00, 90.00, 90.00 degrees
Element x y z (fractional)
Zr (0.0000, 0.0000, 0.0000)
Zr (0.5000, 0.5000, 0.0000)
U (0.0000, 0.5000, 0.5000)
U (0.5000, 0.0000, 0.5000)

Top 10 peaks for 2θ = 5–70°, sorted by position:
two_theta	I/Imax
16.1	32.5
32.6	37.6
34.1	11.6
34.3	33.0
38.0	100.0
38.1	8.8
47.9	9.5
48.0	25.7
61.8	27.0
63.8	22.3